[1]
Computed PXRD pattern
Compound: Cu2B2C
Radiation: CuKα
Structure: a DFT-relaxed cell (PBE, the Materials Project)
Kinematic intensities with the Lorentz-polarization factor, no thermal factor.

Atomic structure:
a = 5.357 Å, b = 5.333 Å, c = 5.258 Å
α = 90.00°, β = 119.28°, γ = 90.00°
Space group C2/m (No. 12)
One atom of each set of equivalent atoms:
Cu: 0.000 0.249 0.000 [4 per cell]
B: 0.157 0.500 0.809 [4 per cell]
C: 0.000 0.500 0.500 [2 per cell]

Principal peaks in the range 10° ≤ 2θ ≤ 90°, low angle first:
2θ 19.36, 4.586 Å, I 100, hkl 0 0 1
2θ 33.46, 2.678 Å, I 18, hkl 2 0 -1
2θ 33.61, 2.666 Å, I 18, hkl 0 2 0
2θ 38.53, 2.336 Å, I 20, hkl 2 0 0
2θ 39.08, 2.305 Å, I 38, hkl 0 2 1
2θ 39.33, 2.291 Å, I 36, hkl 2 0 -2
2θ 48.16, 1.890 Å, I 26, hkl 2 2 -1
2θ 52.67, 1.738 Å, I 28, hkl 0 2 2

---

[2]
Computed PXRD pattern
Compound: Cu2B2C
Radiation: CuKα
Structure: a DFT-relaxed cell (PBE, the Materials Project)
Kinematic intensities with the Lorentz-polarization factor, no thermal factor.

Atomic structure:
a = 5.428 Å, b = 5.404 Å, c = 5.195 Å
α = 90.00°, β = 120.38°, γ = 90.00°
Space group C2/m (No. 12)
One atom of each set of equivalent atoms:
Cu: 0.000 0.249 0.000 [4 per cell]
B: 0.161 0.500 0.817 [4 per cell]
C: 0.000 0.500 0.500 [2 per cell]

Principal peaks in the range 10° ≤ 2θ ≤ 90°, low angle first:
2θ 19.81, 4.482 Å, I 100, hkl 0 0 1
2θ 33.01, 2.714 Å, I 19, hkl 2 0 -1
2θ 33.15, 2.702 Å, I 19, hkl 0 2 0
2θ 38.44, 2.342 Å, I 20, hkl 2 0 0
2θ 38.92, 2.314 Å, I 40, hkl 0 2 1
2θ 39.14, 2.302 Å, I 20, hkl 2 0 -2
2θ 40.24, 2.241 Å, I 17, hkl 0 0 2
2θ 47.48, 1.915 Å, I 28, hkl 2 2 -1

---

[3]
Computed PXRD pattern
Compound: Dy2B4C
Radiation: CuKα
Structure: a DFT-relaxed cell (PBE, the Materials Project)
Kinematic intensities with the Lorentz-polarization factor, no thermal factor.

Atomic structure:
a = 3.280 Å, b = 6.562 Å, c = 7.549 Å
α = 90.00°, β = 90.00°, γ = 90.00°
Space group Immm (No. 71)
One atom of each set of equivalent atoms:
Dy: 0.000 0.000 0.234 [4 per cell]
B: 0.000 0.273 0.500 [4 per cell]
B: 0.000 0.365 0.000 [4 per cell]
C: 0.000 0.500 0.500 [2 per cell]

Principal peaks in the range 10° ≤ 2θ ≤ 90°, low angle first:
2θ 23.57, 3.774 Å, I 56, hkl 0 0 2
2θ 27.18, 3.281 Å, I 55, hkl 0 2 0
2θ 30.47, 2.934 Å, I 74, hkl 1 1 0
2θ 36.28, 2.476 Å, I 55, hkl 0 2 2
2θ 38.88, 2.316 Å, I 100, hkl 1 1 2
2θ 50.13, 1.820 Å, I 23, hkl 1 3 0
2θ 56.09, 1.640 Å, I 46, hkl 2 0 0
2θ 58.12, 1.587 Å, I 21, hkl 1 1 4